# SrGa2O4
Computed powder X-ray diffraction pattern, Cu Kα (weighted mean of Kα1 and Kα2). Input: a PBE-relaxed structure.
Peak positions follow from Bragg's law for the DFT cell and can differ from measured ones.

Principal peaks in the range 10 to 80 degrees two-theta, by intensity:
| 2θ/deg | Rel. int. | (hkl) |
| --- | --- | --- |
| 28.72 | 100 | 2 2 -1 |
| 33.61 | 77 | 0 2 3 |
| 29.15 | 57 | 2 2 -3 |
| 32.94 | 45 | 0 4 0 |
| 29.62 | 29 | 2 0 -4 |
| 27.89 | 23 | 1 2 -3 |
| 27.42 | 20 | 1 2 1 |
| 59.25 | 19 | 0 6 3 |
| 44.11 | 16 | 4 0 -4 |
| 55.65 | 15 | 3 2 -7 |

Atomic structure:
Cell lengths 8.215, 10.877, 12.139 Å; angles 90.00, 130.87, 90.00 degrees
Sites, in units of the cell vectors:
Sr1 0.203 0.152 0.200
Sr2 0.203 0.348 0.700
Sr3 0.220 0.610 0.225
Sr4 0.220 0.890 0.725
Sr5 0.780 0.110 0.275
Sr6 0.780 0.390 0.775
Sr7 0.797 0.652 0.300
Sr8 0.797 0.848 0.800
Ga1 0.168 0.113 0.905
Ga2 0.168 0.387 0.405
Ga3 0.259 0.614 0.931
Ga4 0.259 0.886 0.431
Ga5 0.349 0.138 0.568
Ga6 0.349 0.362 0.068
Ga7 0.401 0.635 0.593
Ga8 0.401 0.865 0.093
Ga9 0.599 0.135 0.907
Ga10 0.599 0.365 0.407
Ga11 0.651 0.638 0.932
Ga12 0.651 0.862 0.432
Ga13 0.741 0.114 0.569
Ga14 0.741 0.386 0.069
Ga15 0.832 0.613 0.595
Ga16 0.832 0.887 0.095
O1 0.082 0.534 0.751
O2 0.082 0.966 0.251
O3 0.105 0.241 0.453
O4 0.105 0.259 0.953
O5 0.184 0.717 0.416
O6 0.184 0.783 0.916
O7 0.247 0.519 0.054
O8 0.247 0.981 0.554
O9 0.308 0.025 0.078
O10 0.308 0.475 0.578
O11 0.318 0.113 0.838
O12 0.318 0.387 0.338
O13 0.453 0.135 0.472
O14 0.453 0.365 0.972
O15 0.466 0.719 0.752
O16 0.466 0.781 0.252
O17 0.534 0.219 0.748
O18 0.534 0.281 0.248
O19 0.547 0.635 0.028
O20 0.547 0.865 0.528
O21 0.682 0.613 0.662
O22 0.682 0.887 0.162
O23 0.692 0.525 0.422
O24 0.692 0.975 0.922
O25 0.753 0.019 0.446
O26 0.753 0.481 0.946
O27 0.816 0.217 0.084
O28 0.816 0.283 0.584
O29 0.895 0.741 0.047
O30 0.895 0.759 0.547
O31 0.918 0.034 0.749
O32 0.918 0.466 0.249